Structure and simulated XRD peak list of TmCd5Pd6 (a crystal structure in Alexandria, relaxed with PBE; a wavelength of 1.5418 Å).
Lines closer than 0.1° are merged.

Cell and atoms:
a = 4.3639 Å, b = 13.1283 Å, c = 7.4975 Å
α = 90.00°, β = 90.00°, γ = 90.00°
Space group Cmmm (No. 65)
Inequivalent atoms, fractional coordinates:
Tm 0.0000 0.0000 0.0000 (multiplicity 2)
Cd 0.0000 0.0000 0.5000 (multiplicity 2)
Cd 0.0000 0.3289 0.0000 (multiplicity 4)
Cd 0.0000 0.3350 0.5000 (multiplicity 4)
Pd 0.0000 0.1667 0.2524 (multiplicity 8)
Pd 0.0000 0.5000 0.2464 (multiplicity 4)

Largest 10 diffraction maxima, by angle, 2θ from 10° to 90°:
2θ/deg	d/Å	intensity	hkl
37.73	2.384	100	1 3 2
41.26	2.188	19	0 6 0
41.38	2.182	19	2 0 0
48.57	1.874	12	0 0 4
59.86	1.545	13	2 6 0
65.63	1.423	19	2 0 4
72.88	1.298	14	1 9 2
73.05	1.295	14	3 3 2
80.58	1.192	10	2 6 4
83.44	1.158	10	1 3 6